Structure and simulated powder diffractogram of TbCo6B3 (DFT lattice parameters and positions (PBE); Cu Kα (λ = 1.5418 Å)).
Lines closer than 0.1° are merged.

The 12 most intense peaks (2θ from 10° to 90°), most intense first:
Position (°2θ)	intensity	h k l
41.8	100	2 0 1
41.9	76	2 2 1
32.9	31	1 1 -1
33.2	30	1 0 2
36.0	29	1 0 -1
39.1	28	0 1 -2
46.2	27	0 1 2
42.6	25	0 2 -1
36.4	24	1 1 2
42.2	22	1 -1 2
53.0	19	2 1 3
23.4	18	1 1 1

Structural model:
```
data_TbCo6B3
_chemical_formula_sum 'Tb1 Co6 B3'
_cell_length_a 4.984
_cell_length_b 5.050
_cell_length_c 5.500
_cell_angle_alpha 85.69
_cell_angle_beta 63.71
_cell_angle_gamma 60.56
_space_group_name_H-M_alt 'P 1'
_space_group_IT_number 1
_space_group_name_Hall 'P 1'
loop_
_atom_site_label
_atom_site_fract_x
_atom_site_fract_y
_atom_site_fract_z
Tb1 0.000 0.000 0.000
Co1 0.197 0.427 0.684
Co2 0.318 0.049 0.326
Co3 0.366 0.536 0.214
Co4 0.699 0.415 0.684
Co5 0.735 0.893 0.602
Co6 0.894 0.530 0.210
B1 0.409 0.236 0.947
B2 0.420 0.675 0.506
B3 0.678 0.694 0.950
```